Diffraction record for Pm3Ga3Rh2. The powder X-ray diffraction pattern is calculated, not measured: it uses a structure optimized by DFT (GGA-PBE) and Cu Kα (λ = 1.5418 Å).

Most intense lines, 2θ from 10° to 90°, sorted by position:
2θ (°)  I/Imax
32.30  90
34.07  90
36.07  100
37.16  91
38.01  97
41.23  84

Crystal structure
```
Pm3Ga3Rh2
1.0
8.027 0.000 0.000
0.000 15.331 0.000
0.000 0.000 5.665
Pm Ga Rh
12 12 8
direct
0.035 0.107 0.114 Pm
0.035 0.393 0.114 Pm
0.167 0.250 0.621 Pm
0.333 0.750 0.121 Pm
0.465 0.607 0.614 Pm
0.465 0.893 0.614 Pm
0.535 0.107 0.386 Pm
0.535 0.393 0.386 Pm
0.667 0.250 0.879 Pm
0.833 0.750 0.379 Pm
0.965 0.607 0.886 Pm
0.965 0.893 0.886 Pm
0.175 0.037 0.601 Ga
0.175 0.463 0.601 Ga
0.175 0.750 0.616 Ga
0.325 0.250 0.116 Ga
0.325 0.537 0.101 Ga
0.325 0.963 0.101 Ga
0.675 0.037 0.899 Ga
0.675 0.463 0.899 Ga
0.675 0.750 0.884 Ga
0.825 0.250 0.384 Ga
0.825 0.537 0.399 Ga
0.825 0.963 0.399 Ga
0.113 0.607 0.373 Rh
0.113 0.893 0.373 Rh
0.387 0.107 0.873 Rh
0.387 0.393 0.873 Rh
0.613 0.607 0.127 Rh
0.613 0.893 0.127 Rh
0.887 0.107 0.627 Rh
0.887 0.393 0.627 Rh
```

Diffraction record for Pm3Ga2Rh. The powder X-ray diffraction pattern is calculated, not measured: it uses a structure optimized by DFT (GGA-PBE) and Cu Kα (λ = 1.5418 Å).

Most intense lines, 2θ from 10° to 90°, sorted by position:
2θ (°)  I/Imax
26.71  65
29.83  39
31.02  100
34.17  78
37.19  46
42.71  55

Crystal structure
```
Pm3Ga2Rh
1.0
12.167 0.000 0.000
0.000 4.234 0.000
0.000 0.000 11.814
Pm Ga Rh
12 8 4
direct
0.045 0.250 0.127 Pm
0.116 0.750 0.553 Pm
0.231 0.250 0.795 Pm
0.269 0.750 0.295 Pm
0.384 0.250 0.053 Pm
0.455 0.750 0.627 Pm
0.545 0.250 0.373 Pm
0.616 0.750 0.947 Pm
0.731 0.250 0.705 Pm
0.769 0.750 0.205 Pm
0.884 0.250 0.447 Pm
0.955 0.750 0.873 Pm
0.011 0.750 0.306 Ga
0.192 0.750 0.004 Ga
0.308 0.250 0.504 Ga
0.489 0.250 0.806 Ga
0.511 0.750 0.194 Ga
0.692 0.750 0.496 Ga
0.808 0.250 0.996 Ga
0.989 0.250 0.694 Ga
0.129 0.250 0.379 Rh
0.371 0.750 0.879 Rh
0.629 0.250 0.121 Rh
0.871 0.750 0.621 Rh
```

Diffraction record for PmGa12Rh4. The powder X-ray diffraction pattern is calculated, not measured: it uses a structure optimized by DFT (GGA-PBE) and Cu Kα (λ = 1.5418 Å).

Most intense lines, 2θ from 10° to 90°, sorted by position:
2θ (°)  I/Imax
28.79  33
32.27  100
38.40  54
46.29  32
51.01  56
53.25  30

Crystal structure
```
PmGa12Rh4
1.0
-4.386 4.386 4.386
4.386 -4.386 4.386
4.386 4.386 -4.386
Pm Ga Rh
1 12 4
direct
0.000 0.000 0.000 Pm
0.159 0.500 0.341 Ga
0.159 0.818 0.659 Ga
0.182 0.341 0.841 Ga
0.341 0.159 0.500 Ga
0.341 0.841 0.182 Ga
0.500 0.341 0.159 Ga
0.500 0.659 0.841 Ga
0.659 0.159 0.818 Ga
0.659 0.841 0.500 Ga
0.818 0.659 0.159 Ga
0.841 0.182 0.341 Ga
0.841 0.500 0.659 Ga
0.000 0.000 0.500 Rh
0.000 0.500 0.000 Rh
0.500 0.000 0.000 Rh
0.500 0.500 0.500 Rh
```

Diffraction record for PmGa11Rh. The powder X-ray diffraction pattern is calculated, not measured: it uses a structure optimized by DFT (GGA-PBE) and Cu Kα (λ = 1.5418 Å).

Most intense lines, 2θ from 10° to 90°, sorted by position:
2θ (°)  I/Imax
35.01  43
35.27  52
37.85  100
39.49  61
39.68  51
41.24  62

Crystal structure
```
PmGa11Rh
1.0
2.594 -6.116 0.000
2.594 6.116 0.000
-2.529 0.000 7.555
Pm Ga Rh
1 11 1
direct
0.000 0.000 0.000 Pm
0.000 0.000 0.500 Ga
0.000 0.500 0.000 Ga
0.023 0.375 0.364 Ga
0.275 0.492 0.771 Ga
0.375 0.023 0.364 Ga
0.492 0.275 0.771 Ga
0.500 0.000 0.000 Ga
0.508 0.725 0.229 Ga
0.625 0.977 0.636 Ga
0.725 0.508 0.229 Ga
0.977 0.625 0.636 Ga
0.500 0.500 0.500 Rh
```

Diffraction record for Pm3Ga4Rh2. The powder X-ray diffraction pattern is calculated, not measured: it uses a structure optimized by DFT (GGA-PBE) and Cu Kα (λ = 1.5418 Å).

Most intense lines, 2θ from 10° to 90°, sorted by position:
2θ (°)  I/Imax
32.02  57
32.87  100
33.33  66
33.47  56
41.13  77
41.35  65

Crystal structure
```
Pm3Ga4Rh2
1.0
5.503 -2.184 0.000
5.503 2.184 0.000
-2.626 0.000 8.032
Pm Ga Rh
3 4 2
direct
0.000 0.000 0.000 Pm
0.374 0.374 0.308 Pm
0.626 0.626 0.692 Pm
0.097 0.097 0.408 Ga
0.280 0.280 0.926 Ga
0.720 0.720 0.074 Ga
0.903 0.903 0.592 Ga
0.317 0.317 0.645 Rh
0.683 0.683 0.355 Rh
```

Diffraction record for Pm12GaRh6. The powder X-ray diffraction pattern is calculated, not measured: it uses a structure optimized by DFT (GGA-PBE) and Cu Kα (λ = 1.5418 Å).

Most intense lines, 2θ from 10° to 90°, sorted by position:
2θ (°)  I/Imax
30.73  24
33.26  100
45.91  22
52.98  22
56.27  28
82.30  16

Crystal structure
```
Pm12GaRh6
1.0
-5.039 5.039 5.039
5.039 -5.039 5.039
5.039 5.039 -5.039
Pm Ga Rh
12 1 6
direct
0.116 0.301 0.814 Pm
0.186 0.487 0.301 Pm
0.186 0.884 0.699 Pm
0.301 0.186 0.487 Pm
0.301 0.814 0.116 Pm
0.487 0.301 0.186 Pm
0.513 0.699 0.814 Pm
0.699 0.186 0.884 Pm
0.699 0.814 0.513 Pm
0.814 0.116 0.301 Pm
0.814 0.513 0.699 Pm
0.884 0.699 0.186 Pm
0.000 0.000 0.000 Ga
0.132 0.500 0.632 Rh
0.368 0.868 0.500 Rh
0.500 0.368 0.868 Rh
0.500 0.632 0.132 Rh
0.632 0.132 0.500 Rh
0.868 0.500 0.368 Rh
```

Diffraction record for PmScGa2Rh2. The powder X-ray diffraction pattern is calculated, not measured: it uses a structure optimized by DFT (GGA-PBE) and Cu Kα (λ = 1.5418 Å).

Most intense lines, 2θ from 10° to 90°, sorted by position:
2θ (°)  I/Imax
26.83  56
35.18  100
41.24  89
55.30  27
58.20  27
71.27  24

Crystal structure
```
PmScGa2Rh2
1.0
4.378 0.000 0.000
-2.189 3.791 0.000
0.000 0.000 6.897
Pm Sc Ga Rh
1 1 2 2
direct
0.000 0.000 0.000 Pm
0.000 0.000 0.500 Sc
0.333 0.667 0.268 Ga
0.667 0.333 0.732 Ga
0.333 0.667 0.650 Rh
0.667 0.333 0.350 Rh
```

Diffraction record for PmGa2SiRh. The powder X-ray diffraction pattern is calculated, not measured: it uses a structure optimized by DFT (GGA-PBE) and Cu Kα (λ = 1.5418 Å).

Most intense lines, 2θ from 10° to 90°, sorted by position:
2θ (°)  I/Imax
33.07  43
35.31  100
44.51  20
44.69  20
47.28  22
56.56  17

Crystal structure
```
PmGa2SiRh
1.0
4.056 0.000 0.000
0.000 4.071 0.000
0.000 0.000 10.909
Pm Ga Si Rh
2 4 2 2
direct
0.000 0.000 0.000 Pm
0.500 0.500 0.500 Pm
0.000 0.000 0.386 Ga
0.000 0.500 0.248 Ga
0.500 0.000 0.748 Ga
0.500 0.500 0.886 Ga
0.000 0.000 0.611 Si
0.500 0.500 0.111 Si
0.000 0.500 0.736 Rh
0.500 0.000 0.236 Rh
```

Diffraction record for PmThGa2Rh5. The powder X-ray diffraction pattern is calculated, not measured: it uses a structure optimized by DFT (GGA-PBE) and Cu Kα (λ = 1.5418 Å).

Most intense lines, 2θ from 10° to 90°, sorted by position:
2θ (°)  I/Imax
29.73  25
35.89  100
39.92  58
57.73  20
61.73  18
69.88  28

Crystal structure
```
PmThGa2Rh5
1.0
4.517 0.000 0.000
0.000 4.517 0.000
0.000 0.000 8.052
Pm Th Ga Rh
1 1 2 5
direct
0.000 0.000 0.000 Pm
0.000 0.000 0.500 Th
0.500 0.500 0.341 Ga
0.500 0.500 0.659 Ga
0.000 0.500 0.239 Rh
0.000 0.500 0.761 Rh
0.500 0.000 0.239 Rh
0.500 0.000 0.761 Rh
0.500 0.500 0.000 Rh
```

Diffraction record for PmYGa2Rh2. The powder X-ray diffraction pattern is calculated, not measured: it uses a structure optimized by DFT (GGA-PBE) and Cu Kα (λ = 1.5418 Å).

Most intense lines, 2θ from 10° to 90°, sorted by position:
2θ (°)  I/Imax
34.05  100
41.02  61
50.08  11
54.33  26
66.66  26
70.27  23

Crystal structure
```
PmYGa2Rh2
1.0
4.401 0.000 0.000
-2.200 3.811 0.000
0.000 0.000 7.285
Pm Y Ga Rh
1 1 2 2
direct
0.000 0.000 0.000 Pm
0.000 0.000 0.500 Y
0.333 0.667 0.263 Ga
0.667 0.333 0.737 Ga
0.333 0.667 0.736 Rh
0.667 0.333 0.264 Rh
```

Diffraction record for Pm2YGa3Rh4. The powder X-ray diffraction pattern is calculated, not measured: it uses a structure optimized by DFT (GGA-PBE) and Cu Kα (λ = 1.5418 Å).

Most intense lines, 2θ from 10° to 90°, sorted by position:
2θ (°)  I/Imax
32.25  39
33.87  100
39.07  19
42.29  56
44.66  19
71.95  22

Crystal structure
```
Pm2YGa3Rh4
1.0
4.275 0.000 0.000
0.000 4.275 0.000
0.000 0.000 10.951
Pm Y Ga Rh
2 1 3 4
direct
0.000 0.500 0.220 Pm
0.500 0.000 0.780 Pm
0.000 0.000 0.500 Y
0.000 0.500 0.883 Ga
0.500 0.000 0.117 Ga
0.500 0.500 0.500 Ga
0.000 0.000 0.000 Rh
0.000 0.500 0.655 Rh
0.500 0.000 0.345 Rh
0.500 0.500 0.000 Rh
```

Diffraction record for Pm2Ga5Ru. The powder X-ray diffraction pattern is calculated, not measured: it uses a structure optimized by DFT (GGA-PBE) and Cu Kα (λ = 1.5418 Å).

Most intense lines, 2θ from 10° to 90°, sorted by position:
2θ (°)  I/Imax
28.11  77
32.75  26
35.07  100
38.52  41
41.78  55
58.12  41

Crystal structure
```
Pm2Ga5Ru
1.0
6.115 0.000 0.000
0.000 6.115 0.000
0.000 0.000 4.674
Pm Ga Ru
2 5 1
direct
0.000 0.500 0.000 Pm
0.500 0.000 0.000 Pm
0.000 0.000 0.000 Ga
0.290 0.290 0.500 Ga
0.290 0.710 0.500 Ga
0.710 0.290 0.500 Ga
0.710 0.710 0.500 Ga
0.000 0.000 0.500 Ru
```

Diffraction record for Pm7Ga2Ru2. The powder X-ray diffraction pattern is calculated, not measured: it uses a structure optimized by DFT (GGA-PBE) and Cu Kα (λ = 1.5418 Å).

Most intense lines, 2θ from 10° to 90°, sorted by position:
2θ (°)  I/Imax
25.88  30
27.67  78
28.72  46
31.90  65
36.73  55
37.70  100

Crystal structure
```
Pm7Ga2Ru2
1.0
3.938 -5.612 0.000
3.938 5.612 0.000
0.000 0.000 7.096
Pm Ga Ru
7 2 2
direct
0.000 0.000 0.000 Pm
0.000 0.500 0.262 Pm
0.000 0.500 0.738 Pm
0.500 0.000 0.262 Pm
0.500 0.000 0.738 Pm
0.500 0.500 0.257 Pm
0.500 0.500 0.743 Pm
0.163 0.163 0.500 Ga
0.837 0.837 0.500 Ga
0.301 0.699 0.000 Ru
0.699 0.301 0.000 Ru
```